Simulated powder diffractogram of CsCu2AgSe2 for copper Kα, from a PBE-relaxed structure.

The 6 most intense peaks (15° ≤ 2θ ≤ 90°), in order of rising 2θ:
index, 2θ/deg, intensity
2 0 -1, 21.73, 29
1 1 1, 22.78, 100
3 1 -1, 34.20, 19
1 1 -3, 42.43, 19
2 2 -2, 45.73, 23
2 2 2, 46.52, 23

Crystal structure
Lattice parameters (Å, degrees): 9.765 5.409 7.099 90.00 92.06 90.00
Space group C2/m (No. 12)
Asymmetric unit:
Cs (0.000, 0.000, 0.000) x2
Cu (0.250, 0.250, 0.500) x4
Ag (0.000, 0.500, 0.500) x2
Se (0.182, 0.500, 0.251) x4

Simulated powder diffractogram of Ho4CI3Cl2 for copper Kα, from a PBE-relaxed structure.

The 6 most intense peaks (15° ≤ 2θ ≤ 90°), in order of rising 2θ:
index, 2θ/deg, intensity
4 0 -1, 21.18, 26
3 1 -1, 28.58, 28
3 1 1, 31.08, 46
1 1 -2, 31.20, 100
6 0 0, 31.34, 42
7 1 -2, 45.23, 27

Crystal structure
Lattice parameters (Å, degrees): 17.544 3.878 8.520 90.00 102.51 90.00
Space group C2/m (No. 12)
Asymmetric unit:
Ho (0.003, 0.000, 0.312) x4
Ho (0.139, 0.500, 0.563) x4
C (0.000, 0.500, 0.500) x2
I (0.000, 0.500, 0.000) x2
I (0.173, 0.000, 0.840) x4
Cl (0.168, 0.000, 0.355) x4